[1]
YHoCdCo: computed powder diffraction line list (Cu Kα X-rays), based on a crystal structure in Alexandria, relaxed with GGA-PBE.
Neutral-atom scattering factors, no anomalous dispersion.

Atomic structure:
```
YHoCdCo
1.0
3.429 0.000 0.000
0.000 3.429 0.000
0.000 0.000 7.610
Y Ho Cd Co
1 1 1 1
Direct
0.000 0.000 0.000 Y
0.000 0.000 0.426 Ho
0.500 0.500 0.711 Cd
0.500 0.500 0.218 Co
```

Top 6 peaks for 2θ = 10–90°, in order of rising 2θ:
2theta	intensity
28.55	18
35.23	100
37.07	49
53.44	17
62.00	13
65.65	36

=====

[2]
Tl3TcI6Br2: computed powder diffraction line list (Cu Kα X-rays), based on a crystal structure in Alexandria, relaxed with GGA-PBE.
Neutral-atom scattering factors, no anomalous dispersion.

Atomic structure:
```
Tl3TcI6Br2
1.0
8.252 -4.413 0.000
8.252 4.413 0.000
-0.849 0.000 7.080
Tl Tc I Br
3 1 6 2
Direct
0.000 0.000 0.000 Tl
0.000 0.500 0.500 Tl
0.500 0.000 0.500 Tl
0.500 0.500 0.500 Tc
0.199 0.637 0.280 I
0.363 0.801 0.720 I
0.381 0.381 0.738 I
0.619 0.619 0.262 I
0.637 0.199 0.280 I
0.801 0.363 0.720 I
0.173 0.173 0.228 Br
0.827 0.827 0.772 Br
```

Top 6 peaks for 2θ = 10–90°, in order of rising 2θ:
2theta	intensity
17.46	53
23.76	80
26.79	100
31.35	88
35.25	57
38.77	55

=====

[3]
Ce3Ho2UN6: computed powder diffraction line list (Cu Kα X-rays), based on a crystal structure in Alexandria, relaxed with GGA-PBE.
Neutral-atom scattering factors, no anomalous dispersion.

Atomic structure:
```
Ce3Ho2UN6
1.0
3.011 -5.210 0.000
3.011 5.210 0.000
-2.006 0.000 5.794
Ce Ho U N
3 2 1 6
Direct
0.000 0.000 0.000 Ce
0.331 0.669 0.000 Ce
0.669 0.331 0.000 Ce
0.167 0.833 0.500 Ho
0.833 0.167 0.500 Ho
0.500 0.500 0.500 U
0.110 0.424 0.273 N
0.262 0.262 0.729 N
0.424 0.110 0.273 N
0.576 0.890 0.727 N
0.738 0.738 0.271 N
0.890 0.576 0.727 N
```

Top 6 peaks for 2θ = 10–90°, in order of rising 2θ:
2theta	intensity
30.87	35
31.46	100
36.31	95
51.91	33
52.68	32
62.32	30